# BaCu4H7
Theoretical XRD peak list, Cu Kα, 1.54184 Å. Input: a cell relaxed with PBE.
Peak positions follow from Bragg's law for the DFT cell and can differ from measured ones.

Largest 8 diffraction maxima, low angle first, 2θ from 5° to 70°:
two_theta	Rel. int.
27.20	15.6
30.14	41.9
30.72	44.0
31.48	100.0
37.89	25.5
39.78	31.9
50.70	18.0
55.98	21.8

Structure:
```
data_BaCu4H7
_chemical_formula_sum 'Ba2 Cu8 H14'
_cell_length_a 11.3890
_cell_length_b 4.7486
_cell_length_c 4.5319
_cell_angle_alpha 90.00
_cell_angle_beta 90.00
_cell_angle_gamma 90.00
_space_group_name_H-M_alt 'P 1'
_space_group_IT_number 1
loop_
_space_group_symop_operation_xyz
'x,y,z'
loop_
_atom_site_label
_atom_site_fract_x
_atom_site_fract_y
_atom_site_fract_z
_atom_site_occupancy
Ba1 0.0000 0.2134 0.0000 1
Ba2 0.5000 0.7866 0.5000 1
Cu1 0.1296 0.6899 0.5334 1
Cu2 0.2497 0.2033 0.5208 1
Cu3 0.2503 0.7967 0.0208 1
Cu4 0.3704 0.3101 0.0334 1
Cu5 0.6296 0.3101 0.0334 1
Cu6 0.7503 0.2033 0.5208 1
Cu7 0.7497 0.7967 0.0208 1
Cu8 0.8704 0.6899 0.5334 1
H1 0.0000 0.8328 0.4481 1
H2 0.1178 0.3418 0.4944 1
H3 0.1183 0.7177 0.9082 1
H4 0.2466 0.8604 0.3925 1
H5 0.2534 0.1396 0.8925 1
H6 0.3817 0.2823 0.4082 1
H7 0.3822 0.6582 0.9944 1
H8 0.5000 0.1672 0.9481 1
H9 0.6183 0.2823 0.4082 1
H10 0.6178 0.6582 0.9944 1
H11 0.7466 0.1396 0.8925 1
H12 0.7534 0.8604 0.3925 1
H13 0.8822 0.3418 0.4944 1
H14 0.8817 0.7177 0.9082 1
```

***

# LiNdNb4N8
Theoretical XRD peak list, Cu Kα, 1.54184 Å. Input: a cell relaxed with PBE.
Peak positions follow from Bragg's law for the DFT cell and can differ from measured ones.

Largest 8 diffraction maxima, low angle first, 2θ from 5° to 70°:
two_theta	Rel. int.
27.70	52.1
32.57	25.0
32.77	100.0
49.20	19.3
52.20	16.2
52.36	14.3
57.20	20.7
57.59	21.2

Structure:
```
data_LiNdNb4N8
_chemical_formula_sum 'Li1 Nd1 Nb4 N8'
_cell_length_a 6.4423
_cell_length_b 6.4423
_cell_length_c 6.4423
_cell_angle_alpha 59.59
_cell_angle_beta 59.59
_cell_angle_gamma 59.59
_space_group_name_H-M_alt 'P 1'
_space_group_IT_number 1
loop_
_space_group_symop_operation_xyz
'x,y,z'
loop_
_atom_site_label
_atom_site_fract_x
_atom_site_fract_y
_atom_site_fract_z
_atom_site_occupancy
Li1 0.0000 0.0000 0.0000 1
Nd1 0.3813 0.3813 0.3813 1
Nb1 0.0036 0.0036 0.4852 1
Nb2 0.0036 0.4852 0.0036 1
Nb3 0.4852 0.0036 0.0036 1
Nb4 0.6240 0.6240 0.6240 1
N1 0.2369 0.2369 0.2369 1
N2 0.2403 0.2403 0.8145 1
N3 0.2403 0.8145 0.2403 1
N4 0.2506 0.7391 0.7391 1
N5 0.7391 0.2506 0.7391 1
N6 0.7391 0.7391 0.2506 1
N7 0.7602 0.7602 0.7602 1
N8 0.8145 0.2403 0.2403 1
```

***

# Ac2Pr3Y7
Theoretical XRD peak list, Cu Kα, 1.54184 Å. Input: a cell relaxed with PBE.
Peak positions follow from Bragg's law for the DFT cell and can differ from measured ones.

Largest 8 diffraction maxima, low angle first, 2θ from 5° to 70°:
two_theta	Rel. int.
14.88	18.6
28.06	32.5
30.02	49.6
31.11	35.1
31.28	38.2
31.90	100.0
48.68	21.6
58.41	15.5

Structure:
```
data_Ac2Pr3Y7
_chemical_formula_sum 'Ac2 Pr3 Y7'
_cell_length_a 6.5424
_cell_length_b 3.6385
_cell_length_c 17.8621
_cell_angle_alpha 90.00
_cell_angle_beta 90.35
_cell_angle_gamma 90.00
_space_group_name_H-M_alt 'P 1'
_space_group_IT_number 1
loop_
_space_group_symop_operation_xyz
'x,y,z'
loop_
_atom_site_label
_atom_site_fract_x
_atom_site_fract_y
_atom_site_fract_z
_atom_site_occupancy
Ac1 0.0043 0.0000 0.3252 1
Ac2 0.9957 0.0000 0.6748 1
Pr1 0.0000 0.0000 0.0000 1
Pr2 0.4903 0.5000 0.6625 1
Pr3 0.5097 0.5000 0.3375 1
Y1 0.1744 0.5000 0.8396 1
Y2 0.2585 0.0000 0.5029 1
Y3 0.3311 0.0000 0.1616 1
Y4 0.5000 0.5000 0.0000 1
Y5 0.6689 0.0000 0.8384 1
Y6 0.7415 0.0000 0.4971 1
Y7 0.8256 0.5000 0.1604 1
```